(1)
Starting from a cell relaxed with PBE, the X-ray diffraction stick pattern of Li2BeAs2Ir was computed for Cu Kα.
Kinematic intensities with the Lorentz-polarization factor, no thermal factor.

```
6
Lattice="3.677 0.000 0.000 0.000 3.677 0.000 0.000 0.000 6.531" Properties=species:S:1:pos:R:3 pbc="T T T"
Li 0.000 1.839 1.082
Li 1.839 0.000 5.449
Be 0.000 0.000 3.265
As 0.000 1.839 4.951
As 1.839 0.000 1.579
Ir 1.839 1.839 3.265
```

Peak list (8 most intense, 10° ≤ 2θ ≤ 90°, low angle first)
2θ = 13.56°, rel. 81.2; 2θ = 24.20°, rel. 42.6; 2θ = 27.84°, rel. 100.0; 2θ = 36.81°, rel. 29.5; 2θ = 37.22°, rel. 37.0; 2θ = 44.55°, rel. 64.5; 2θ = 49.58°, rel. 24.4; 2θ = 57.82°, rel. 26.1

(2)
Starting from a cell relaxed with PBE, the X-ray diffraction stick pattern of BeAsIrO was computed for Cu Kα.
Kinematic intensities with the Lorentz-polarization factor, no thermal factor.

```
8
Lattice="2.867 0.000 0.000 0.000 5.622 0.000 0.000 0.000 6.581" Properties=species:S:1:pos:R:3 pbc="T T T"
Be 0.000 0.841 0.000
Be 0.000 4.782 3.291
As 0.000 1.417 3.206
As 0.000 4.206 6.497
Ir 1.434 2.770 1.471
Ir 1.434 2.852 4.762
O 1.434 1.455 6.365
O 1.434 4.168 3.074
```

Peak list (8 most intense, 10° ≤ 2θ ≤ 90°, low angle first)
2θ = 15.76°, rel. 100.0; 2θ = 31.50°, rel. 40.0; 2θ = 35.13°, rel. 30.7; 2θ = 41.79°, rel. 33.6; 2θ = 42.28°, rel. 39.6; 2θ = 44.92°, rel. 29.1; 2θ = 45.17°, rel. 26.2; 2θ = 74.58°, rel. 12.0

(3)
Starting from a cell relaxed with PBE, the X-ray diffraction stick pattern of SrBeAs2Ir was computed for Cu Kα.
Kinematic intensities with the Lorentz-polarization factor, no thermal factor.

```
5
Lattice="-1.985 1.985 6.145 1.985 -1.985 6.145 1.985 1.985 -6.145" Properties=species:S:1:pos:R:3 pbc="T T T"
Sr 0.000 0.000 0.000
Be 0.000 1.985 3.073
As 0.000 0.000 4.508
As 0.000 0.000 7.782
Ir 1.985 0.000 3.073
```

Peak list (8 most intense, 10° ≤ 2θ ≤ 90°, low angle first)
2θ = 14.41°, rel. 30.2; 2θ = 23.55°, rel. 85.9; 2θ = 31.38°, rel. 100.0; 2θ = 35.15°, rel. 67.0; 2θ = 43.29°, rel. 32.1; 2θ = 43.68°, rel. 34.2; 2θ = 45.71°, rel. 42.9; 2θ = 56.49°, rel. 37.7

(4)
Starting from a cell relaxed with PBE, the X-ray diffraction stick pattern of BeNbAsO was computed for Cu Kα.
Kinematic intensities with the Lorentz-polarization factor, no thermal factor.

```
8
Lattice="2.943 0.000 0.000 0.000 6.314 0.000 0.000 0.000 5.800" Properties=species:S:1:pos:R:3 pbc="T T T"
Be 0.000 0.874 0.000
Be 0.000 5.440 2.900
Nb 1.471 3.150 4.094
Nb 1.471 3.164 1.194
As 0.000 1.402 2.657
As 0.000 4.912 5.557
O 1.471 1.440 5.558
O 1.471 4.874 2.658
```

Peak list (8 most intense, 10° ≤ 2θ ≤ 90°, low angle first)
2θ = 14.03°, rel. 100.0; 2θ = 20.79°, rel. 39.9; 2θ = 33.60°, rel. 51.6; 2θ = 34.02°, rel. 53.6; 2θ = 37.10°, rel. 49.6; 2θ = 41.97°, rel. 53.3; 2θ = 42.32°, rel. 74.3; 2θ = 43.83°, rel. 52.2